No. 1
# Pm6Er3Sc2
Simulated powder diffraction line list, Cu Kα (λ = 1.5418 Å). Input: a DFT-relaxed cell (GGA-PBE, Alexandria).

Structure:
Lattice parameters (Å, degrees): 6.092 6.675 9.651 88.57 87.70 63.53
Fractional coordinates of all 11 atoms:
Pm (0.092, 0.392, 0.324)
Pm (0.214, 0.226, 0.951)
Pm (0.234, 0.858, 0.232)
Pm (0.766, 0.142, 0.768)
Pm (0.786, 0.774, 0.049)
Pm (0.908, 0.608, 0.676)
Er (0.346, 0.682, 0.865)
Er (0.500, 0.500, 0.500)
Er (0.654, 0.318, 0.135)
Sc (0.294, 0.047, 0.606)
Sc (0.706, 0.953, 0.394)

Largest 12 diffraction maxima, in order of rising 2θ, 2θ from 10° to 80°:
- d = 3.554 Å, intensity 39
- d = 3.043 Å, intensity 58
- d = 2.847 Å, intensity 99
- d = 2.809 Å, intensity 100
- d = 2.768 Å, intensity 79
- d = 2.731 Å, intensity 85
- d = 2.715 Å, intensity 73
- d = 2.699 Å, intensity 45
- d = 2.645 Å, intensity 41
- d = 1.839 Å, intensity 28
- d = 1.625 Å, intensity 25
- d = 1.470 Å, intensity 25


No. 2
# Ba8Sr2Tl
Simulated powder diffraction line list, Cu Kα (λ = 1.5418 Å). Input: a DFT-relaxed cell (GGA-PBE, Alexandria).

Structure:
Lattice parameters (Å, degrees): 6.095 6.095 17.389 90.00 90.00 90.00
Fractional coordinates of all 11 atoms:
Ba (0.000, 0.000, 0.186)
Ba (0.000, 0.000, 0.814)
Ba (0.000, 0.500, 0.000)
Ba (0.000, 0.500, 0.384)
Ba (0.000, 0.500, 0.616)
Ba (0.500, 0.000, 0.000)
Ba (0.500, 0.000, 0.384)
Ba (0.500, 0.000, 0.616)
Sr (0.500, 0.500, 0.191)
Sr (0.500, 0.500, 0.809)
Tl (0.500, 0.500, 0.500)

Largest 12 diffraction maxima, in order of rising 2θ, 2θ from 10° to 80°:
- d = 5.752 Å, intensity 13
- d = 4.991 Å, intensity 11
- d = 3.861 Å, intensity 18
- d = 3.478 Å, intensity 16
- d = 3.459 Å, intensity 100
- d = 3.061 Å, intensity 11
- d = 3.048 Å, intensity 54
- d = 2.292 Å, intensity 20
- d = 2.155 Å, intensity 24
- d = 1.941 Å, intensity 13
- d = 1.830 Å, intensity 43
- d = 1.395 Å, intensity 11


No. 3
# NaMgH2SO5
Simulated powder diffraction line list, Cu Kα (λ = 1.5418 Å). Input: a DFT-relaxed cell (GGA-PBE, Alexandria).

Structure:
Lattice parameters (Å, degrees): 6.360 5.978 8.048 90.00 110.95 90.00
Fractional coordinates of all 20 atoms:
Na (0.103, 0.250, 0.284)
Na (0.897, 0.750, 0.716)
Mg (0.500, 0.000, 0.000)
Mg (0.500, 0.500, 0.000)
H (0.421, 0.623, 0.627)
H (0.421, 0.877, 0.627)
H (0.579, 0.123, 0.373)
H (0.579, 0.377, 0.373)
S (0.088, 0.250, 0.721)
S (0.912, 0.750, 0.279)
O (0.159, 0.750, 0.360)
O (0.164, 0.045, 0.840)
O (0.164, 0.455, 0.840)
O (0.203, 0.250, 0.591)
O (0.489, 0.250, 0.307)
O (0.511, 0.750, 0.693)
O (0.797, 0.750, 0.409)
O (0.836, 0.545, 0.160)
O (0.836, 0.955, 0.160)
O (0.841, 0.250, 0.640)

Largest 12 diffraction maxima, in order of rising 2θ, 2θ from 10° to 80°:
- d = 5.939 Å, intensity 43
- d = 5.771 Å, intensity 100
- d = 4.214 Å, intensity 58
- d = 4.152 Å, intensity 40
- d = 3.860 Å, intensity 100
- d = 3.758 Å, intensity 32
- d = 3.332 Å, intensity 38
- d = 3.243 Å, intensity 38
- d = 2.778 Å, intensity 70
- d = 2.671 Å, intensity 34
- d = 2.659 Å, intensity 33
- d = 2.339 Å, intensity 34


No. 4
# K3Te4Pb2
Simulated powder diffraction line list, Cu Kα (λ = 1.5418 Å). Input: a DFT-relaxed cell (GGA-PBE, Alexandria).

Structure:
Lattice parameters (Å, degrees): 8.349 8.349 11.711 125.35 125.35 38.28
Fractional coordinates of all 9 atoms:
K (0.000, 0.000, 0.000)
K (0.366, 0.366, 0.234)
K (0.634, 0.634, 0.766)
Te (0.088, 0.088, 0.373)
Te (0.309, 0.309, 0.890)
Te (0.691, 0.691, 0.110)
Te (0.912, 0.912, 0.627)
Pb (0.324, 0.324, 0.653)
Pb (0.676, 0.676, 0.347)

Largest 12 diffraction maxima, in order of rising 2θ, 2θ from 10° to 80°:
- d = 7.864 Å, intensity 100
- d = 6.235 Å, intensity 29
- d = 5.778 Å, intensity 24
- d = 4.947 Å, intensity 57
- d = 4.130 Å, intensity 34
- d = 3.751 Å, intensity 31
- d = 3.310 Å, intensity 83
- d = 3.150 Å, intensity 39
- d = 2.737 Å, intensity 53
- d = 2.435 Å, intensity 72
- d = 2.269 Å, intensity 35
- d = 1.516 Å, intensity 30


No. 5
# LiZr2C4
Simulated powder diffraction line list, Cu Kα (λ = 1.5418 Å). Input: a DFT-relaxed cell (GGA-PBE, Alexandria).

Structure:
Lattice parameters (Å, degrees): 3.564 3.564 11.847 90.00 90.00 90.00
Fractional coordinates of all 14 atoms:
Li (0.000, 0.000, 0.000)
Li (0.500, 0.500, 0.500)
Zr (0.000, 0.000, 0.362)
Zr (0.000, 0.000, 0.638)
Zr (0.500, 0.500, 0.138)
Zr (0.500, 0.500, 0.862)
C (0.000, 0.000, 0.171)
C (0.000, 0.000, 0.829)
C (0.000, 0.500, 0.000)
C (0.000, 0.500, 0.500)
C (0.500, 0.000, 0.000)
C (0.500, 0.000, 0.500)
C (0.500, 0.500, 0.329)
C (0.500, 0.500, 0.671)

Largest 12 diffraction maxima, in order of rising 2θ, 2θ from 10° to 80°:
- d = 3.413 Å, intensity 100
- d = 2.962 Å, intensity 39
- d = 2.646 Å, intensity 93
- d = 2.520 Å, intensity 73
- d = 1.974 Å, intensity 22
- d = 1.920 Å, intensity 68
- d = 1.782 Å, intensity 35
- d = 1.580 Å, intensity 21
- d = 1.528 Å, intensity 45
- d = 1.478 Å, intensity 32
- d = 1.323 Å, intensity 14
- d = 1.260 Å, intensity 10


No. 6
# LaNd2H7
Simulated powder diffraction line list, Cu Kα (λ = 1.5418 Å). Input: a DFT-relaxed cell (GGA-PBE, Alexandria).

Structure:
Lattice parameters (Å, degrees): 8.752 8.752 8.752 154.46 154.46 36.43
Fractional coordinates of all 10 atoms:
La (0.000, 0.000, 0.000)
Nd (0.332, 0.332, 0.000)
Nd (0.668, 0.668, 0.000)
H (0.089, 0.589, 0.500)
H (0.250, 0.750, 0.500)
H (0.411, 0.911, 0.500)
H (0.500, 0.500, 0.000)
H (0.589, 0.089, 0.500)
H (0.750, 0.250, 0.500)
H (0.911, 0.411, 0.500)

Largest 12 diffraction maxima, in order of rising 2θ, 2θ from 10° to 80°:
- d = 3.172 Å, intensity 100
- d = 2.771 Å, intensity 17
- d = 2.735 Å, intensity 33
- d = 1.947 Å, intensity 26
- d = 1.934 Å, intensity 13
- d = 1.667 Å, intensity 15
- d = 1.651 Å, intensity 30
- d = 1.586 Å, intensity 13
- d = 1.263 Å, intensity 12
- d = 1.256 Å, intensity 6
- d = 1.236 Å, intensity 6
- d = 1.226 Å, intensity 5


No. 7
# Y2GaSiPd6
Simulated powder diffraction line list, Cu Kα (λ = 1.5418 Å). Input: a DFT-relaxed cell (GGA-PBE, Alexandria).

Structure:
Lattice parameters (Å, degrees): 6.326 6.326 7.854 126.86 126.86 51.34
Fractional coordinates of all 10 atoms:
Y (0.001, 0.001, 0.248)
Y (0.999, 0.999, 0.752)
Ga (0.500, 0.500, 0.000)
Si (0.500, 0.500, 0.500)
Pd (0.009, 0.506, 0.204)
Pd (0.335, 0.335, 0.583)
Pd (0.494, 0.991, 0.796)
Pd (0.506, 0.009, 0.204)
Pd (0.665, 0.665, 0.417)
Pd (0.991, 0.494, 0.796)

Largest 12 diffraction maxima, in order of rising 2θ, 2θ from 10° to 80°:
- d = 4.255 Å, intensity 44
- d = 3.063 Å, intensity 32
- d = 2.931 Å, intensity 29
- d = 2.522 Å, intensity 89
- d = 2.480 Å, intensity 69
- d = 2.468 Å, intensity 52
- d = 2.304 Å, intensity 99
- d = 2.247 Å, intensity 100
- d = 2.147 Å, intensity 55
- d = 2.128 Å, intensity 37
- d = 2.093 Å, intensity 61
- d = 1.260 Å, intensity 31


No. 8
# ZrTaSi2Ru2
Simulated powder diffraction line list, Cu Kα (λ = 1.5418 Å). Input: a DFT-relaxed cell (GGA-PBE, Alexandria).

Structure:
Lattice parameters (Å, degrees): 6.563 3.765 11.249 90.00 90.32 90.00
Fractional coordinates of all 18 atoms:
Zr (0.000, 0.000, 0.000)
Zr (0.001, 0.000, 0.582)
Zr (0.502, 0.000, 0.082)
Ta (0.139, 0.000, 0.293)
Ta (0.500, 0.000, 0.498)
Ta (0.634, 0.000, 0.787)
Si (0.210, 0.500, 0.129)
Si (0.214, 0.500, 0.456)
Si (0.223, 0.000, 0.791)
Si (0.704, 0.500, 0.622)
Si (0.707, 0.500, 0.952)
Si (0.724, 0.000, 0.295)
Ru (0.334, 0.500, 0.912)
Ru (0.337, 0.500, 0.666)
Ru (0.468, 0.500, 0.295)
Ru (0.835, 0.500, 0.169)
Ru (0.835, 0.500, 0.414)
Ru (0.964, 0.500, 0.788)

Largest 12 diffraction maxima, in order of rising 2θ, 2θ from 10° to 80°:
- d = 3.137 Å, intensity 76
- d = 2.474 Å, intensity 93
- d = 2.466 Å, intensity 97
- d = 2.459 Å, intensity 100
- d = 2.268 Å, intensity 67
- d = 2.261 Å, intensity 73
- d = 2.253 Å, intensity 75
- d = 2.147 Å, intensity 70
- d = 2.141 Å, intensity 30
- d = 2.131 Å, intensity 50
- d = 1.883 Å, intensity 74
- d = 1.416 Å, intensity 36


> What is the formula in the third record?

NaMgH2SO5